No. 1
This entry pairs a crystal structure of Ta2TlO6 with its theoretical powder XRD pattern. Radiation: Cu Kα X-rays. Structure: DFT lattice parameters and positions (GGA-PBE).
Peak positions follow from Bragg's law for the DFT cell and can differ from measured ones.

Crystal structure
```
Ta2TlO6
1.0
-3.769 3.787 5.330
3.769 -3.787 5.330
3.769 3.787 -5.330
Ta Tl O
4 2 12
Direct
0.000 0.000 0.000
0.500 0.000 0.000
0.500 0.000 0.500
0.500 0.500 0.500
0.000 0.500 0.500
0.500 0.500 0.000
0.189 0.312 0.255
0.189 0.935 0.877
0.194 0.944 0.250
0.437 0.687 0.750
0.443 0.065 0.755
0.443 0.688 0.377
0.557 0.312 0.623
0.557 0.935 0.245
0.563 0.313 0.250
0.806 0.056 0.750
0.811 0.065 0.123
0.811 0.688 0.745
```

The 8 most intense peaks (2θ from 10° to 90°), in order of falling intensity:
2theta, d/Å, I (rel.)
29.0, 3.082, 100
33.6, 2.669, 40
14.3, 6.174, 38
48.2, 1.886, 34
57.3, 1.608, 30
27.7, 3.217, 18
57.1, 1.613, 15
16.6, 5.330, 12

No. 2
This entry pairs a crystal structure of TmTa3O9 with its theoretical powder XRD pattern. Radiation: Cu Kα X-rays. Structure: DFT lattice parameters and positions (GGA-PBE).
Peak positions follow from Bragg's law for the DFT cell and can differ from measured ones.

Crystal structure
```
TmTa3O9
1.0
5.250 0.000 0.000
0.000 7.482 0.000
-0.361 0.000 8.296
Tm Ta O
2 6 18
Direct
0.034 0.250 0.435
0.966 0.750 0.565
0.000 0.000 0.000
0.000 0.500 0.000
0.471 0.007 0.696
0.471 0.493 0.696
0.529 0.507 0.304
0.529 0.993 0.304
0.101 0.250 0.977
0.146 0.567 0.783
0.146 0.933 0.783
0.255 0.545 0.467
0.255 0.955 0.467
0.328 0.556 0.120
0.328 0.944 0.120
0.329 0.250 0.651
0.417 0.250 0.315
0.583 0.750 0.685
0.671 0.750 0.349
0.672 0.056 0.880
0.672 0.444 0.880
0.745 0.045 0.533
0.745 0.455 0.533
0.854 0.067 0.217
0.854 0.433 0.217
0.899 0.750 0.023
```

The 8 most intense peaks (2θ from 10° to 90°), in order of falling intensity:
2theta, d/Å, I (rel.)
26.8, 3.325, 100
31.5, 2.836, 87
28.0, 3.187, 75
23.8, 3.741, 59
29.3, 3.045, 57
34.2, 2.623, 56
31.0, 2.883, 48
40.6, 2.224, 37

No. 3
This entry pairs a crystal structure of TmTaO4 with its theoretical powder XRD pattern. Radiation: Cu Kα X-rays. Structure: DFT lattice parameters and positions (GGA-PBE).
Peak positions follow from Bragg's law for the DFT cell and can differ from measured ones.

Crystal structure
```
TmTaO4
1.0
5.102 0.000 0.000
0.000 5.485 0.000
-0.564 0.000 5.252
Tm Ta O
2 2 8
Direct
0.000 0.231 0.250
0.000 0.769 0.750
0.500 0.305 0.750
0.500 0.695 0.250
0.247 0.084 0.596
0.247 0.916 0.096
0.267 0.433 0.000
0.267 0.567 0.500
0.733 0.433 0.500
0.733 0.567 0.000
0.753 0.084 0.904
0.753 0.916 0.404
```

The 8 most intense peaks (2θ from 10° to 90°), in order of falling intensity:
2theta, d/Å, I (rel.)
28.3, 3.157, 100
30.5, 2.931, 82
34.1, 2.626, 25
48.0, 1.897, 23
48.9, 1.862, 22
32.7, 2.743, 21
35.4, 2.536, 20
47.1, 1.930, 17

No. 4
This entry pairs a crystal structure of UTa2O7 with its theoretical powder XRD pattern. Radiation: Cu Kα X-rays. Structure: DFT lattice parameters and positions (GGA-PBE).
Peak positions follow from Bragg's law for the DFT cell and can differ from measured ones.

Crystal structure
```
UTa2O7
1.0
-3.684 3.747 5.271
3.684 -3.747 5.271
3.684 3.747 -5.271
U Ta O
2 4 14
Direct
0.000 0.000 0.000
0.500 0.000 0.500
0.000 0.500 0.500
0.500 0.000 0.000
0.500 0.500 0.000
0.500 0.500 0.500
0.165 0.915 0.250
0.183 0.416 0.359
0.183 0.824 0.767
0.196 0.446 0.750
0.430 0.180 0.250
0.444 0.176 0.859
0.444 0.584 0.267
0.556 0.416 0.733
0.556 0.824 0.141
0.570 0.820 0.750
0.804 0.554 0.250
0.817 0.176 0.233
0.817 0.584 0.641
0.835 0.085 0.750
```

The 8 most intense peaks (2θ from 10° to 90°), in order of falling intensity:
2theta, d/Å, I (rel.)
29.6, 3.019, 100
29.2, 3.054, 98
14.5, 6.108, 62
49.0, 1.861, 57
34.1, 2.627, 48
57.9, 1.592, 35
16.8, 5.271, 32
58.5, 1.577, 29